For LiCuPbF6, a cell relaxed with PBE gives the theoretical XRD peak list in this record (copper Kα).

Most intense lines, 5 to 70 degrees two-theta, in order of rising 2θ:
two_theta, Rel. int.
17.81, 32
20.02, 100
25.43, 85
31.22, 38
32.46, 64
40.69, 23
41.77, 35
44.65, 15
49.46, 62
52.23, 17
61.84, 14
62.86, 20

Structure:
```
LiCuPbF6
1.0
4.953 0.000 0.000
0.000 4.953 0.000
0.000 0.000 9.961
Li Cu Pb F
2 2 2 12
Direct
0.000 0.000 0.000
0.500 0.500 0.500
0.000 0.000 0.330
0.500 0.500 0.830
0.000 0.000 0.661
0.500 0.500 0.161
0.181 0.181 0.166
0.203 0.203 0.483
0.218 0.218 0.832
0.282 0.718 0.332
0.297 0.703 0.983
0.319 0.681 0.666
0.681 0.319 0.666
0.703 0.297 0.983
0.718 0.282 0.332
0.782 0.782 0.832
0.797 0.797 0.483
0.819 0.819 0.166
```

---

For Rb3LiCu2F9, a cell relaxed with PBE gives the theoretical XRD peak list in this record (copper Kα).

Most intense lines, 5 to 70 degrees two-theta, in order of rising 2θ:
two_theta, Rel. int.
12.33, 5
17.52, 8
21.48, 9
30.56, 100
33.09, 2
37.66, 27
43.76, 49
49.26, 3
54.30, 30
54.36, 9
63.56, 14
63.66, 14

Structure:
```
Rb3LiCu2F9
1.0
5.847 0.000 0.000
-2.923 5.063 0.000
0.000 0.000 7.177
Rb Li Cu F
3 1 2 9
Direct
0.000 0.000 0.000
0.333 0.667 0.659
0.667 0.333 0.341
0.000 0.000 0.500
0.333 0.667 0.167
0.667 0.333 0.833
0.000 0.500 0.000
0.173 0.346 0.321
0.173 0.827 0.321
0.346 0.173 0.679
0.500 0.000 0.000
0.500 0.500 0.000
0.654 0.827 0.321
0.827 0.173 0.679
0.827 0.654 0.679
```

---

For LiCu2RhF8, a cell relaxed with PBE gives the theoretical XRD peak list in this record (copper Kα).

Most intense lines, 5 to 70 degrees two-theta, in order of rising 2θ:
two_theta, Rel. int.
17.40, 20
19.53, 30
24.80, 13
30.46, 100
31.69, 8
39.66, 6
40.71, 9
43.56, 7
48.18, 8
50.80, 78
60.28, 13
60.45, 27

Structure:
```
LiCu2RhF8
1.0
-2.539 2.539 5.096
2.539 -2.539 5.096
2.539 2.539 -5.096
Li Cu Rh F
1 2 1 8
Direct
0.000 0.000 0.000
0.500 0.500 0.000
0.750 0.250 0.500
0.250 0.750 0.500
0.081 0.082 0.443
0.176 0.618 0.037
0.361 0.919 0.001
0.382 0.419 0.558
0.581 0.139 0.963
0.640 0.639 0.557
0.861 0.824 0.442
0.918 0.360 0.999
```

---

For Li2CuRuF, a cell relaxed with PBE gives the theoretical XRD peak list in this record (copper Kα).

Most intense lines, 5 to 70 degrees two-theta, in order of rising 2θ:
two_theta, Rel. int.
19.21, 100
27.30, 59
33.59, 8
38.99, 41
43.81, 47
48.24, 24
56.32, 26
60.07, 23
63.69, 10
67.20, 3

Structure:
```
Li2CuRuF
1.0
4.620 0.000 0.000
0.000 4.620 0.000
0.000 0.000 4.621
Li Cu Ru F
2 1 1 1
Direct
0.000 0.500 0.000
0.500 0.000 0.000
0.000 0.000 0.000
0.000 0.000 0.500
0.500 0.500 0.500
```

---

For MgCuF5, a cell relaxed with PBE gives the theoretical XRD peak list in this record (copper Kα).

Most intense lines, 5 to 70 degrees two-theta, in order of rising 2θ:
two_theta, Rel. int.
18.46, 29
20.80, 58
26.33, 100
27.40, 78
27.92, 45
41.85, 17
46.81, 20
47.55, 36
49.71, 16
53.54, 19
54.42, 23
56.56, 18

Structure:
```
MgCuF5
1.0
5.057 0.000 0.000
0.000 9.612 0.000
-2.452 0.000 6.918
Mg Cu F
4 4 20
Direct
0.024 0.013 0.237
0.024 0.487 0.737
0.976 0.513 0.263
0.976 0.987 0.763
0.396 0.243 0.619
0.396 0.257 0.119
0.604 0.743 0.881
0.604 0.757 0.381
0.086 0.116 0.586
0.086 0.384 0.086
0.144 0.106 0.009
0.144 0.394 0.509
0.290 0.642 0.344
0.290 0.858 0.844
0.346 0.179 0.355
0.346 0.321 0.855
0.373 0.592 0.774
0.373 0.908 0.274
0.627 0.092 0.726
0.627 0.408 0.226
0.654 0.679 0.145
0.654 0.821 0.645
0.710 0.142 0.156
0.710 0.358 0.656
0.856 0.606 0.491
0.856 0.894 0.991
0.914 0.616 0.914
0.914 0.884 0.414
```

---

For MgCuF5, a cell relaxed with PBE gives the theoretical XRD peak list in this record (copper Kα).

Most intense lines, 5 to 70 degrees two-theta, in order of rising 2θ:
two_theta, Rel. int.
18.33, 63
23.41, 100
26.83, 43
28.02, 96
28.44, 72
44.94, 23
47.87, 36
49.33, 33
50.11, 38
55.29, 17
56.39, 24
56.63, 18

Structure:
```
MgCuF5
1.0
3.695 0.000 0.000
0.000 6.276 0.000
0.000 0.000 7.601
Mg Cu F
2 2 10
Direct
0.000 0.000 0.000
0.500 0.500 0.500
0.000 0.000 0.500
0.500 0.500 0.000
0.000 0.000 0.251
0.000 0.000 0.749
0.000 0.308 0.500
0.000 0.500 0.000
0.000 0.692 0.500
0.500 0.000 0.500
0.500 0.192 0.000
0.500 0.500 0.249
0.500 0.500 0.751
0.500 0.808 0.000
```